1.
Structure and theoretical powder XRD pattern of Cs2Cd2H5 (DFT lattice parameters and positions (PBE); Cu Kα, 1.54184 Å).
Lines closer than 0.1° are merged.

Cell and atoms:
Cell lengths 6.4309, 6.4309, 7.1859 Å; angles 106.64, 106.64, 40.84 degrees
Sites, in units of the cell vectors:
1 Cs 0.0909 0.0909 0.3177
2 Cs 0.9091 0.9091 0.6823
3 Cd 0.3442 0.3442 0.0841
4 Cd 0.6558 0.6558 0.9159
5 H 0.1682 0.1682 0.9622
6 H 0.3646 0.3646 0.3524
7 H 0.5000 0.5000 0.0000
8 H 0.6354 0.6354 0.6476
9 H 0.8318 0.8318 0.0378

Peak list (8 most intense, 2θ from 10° to 90°, in order of falling intensity)
2θ 26.20, rel. 100
2θ 30.44, rel. 80
2θ 25.93, rel. 64
2θ 48.46, rel. 23
2θ 40.19, rel. 21
2θ 31.17, rel. 20
2θ 51.27, rel. 20
2θ 23.07, rel. 19

=====

2.
Structure and theoretical powder XRD pattern of BaSrNiH6 (DFT lattice parameters and positions (PBE); Cu Kα, 1.54184 Å).
Lines closer than 0.1° are merged.

Cell and atoms:
Cell lengths 5.2081, 5.2081, 4.8134 Å; angles 90.00, 90.00, 120.00 degrees
Sites, in units of the cell vectors:
1 Ba 0.0000 0.0000 0.0000
2 Sr 0.6667 0.3333 0.5126
3 Ni 0.3333 0.6667 0.3145
4 H 0.0369 0.5185 0.1145
5 H 0.1799 0.3598 0.4978
6 H 0.1799 0.8201 0.4978
7 H 0.4815 0.5185 0.1145
8 H 0.4815 0.9631 0.1145
9 H 0.6402 0.8201 0.4978

Peak list (8 most intense, 2θ from 10° to 90°, in order of falling intensity)
2θ 27.09, rel. 100
2θ 34.44, rel. 51
2θ 44.36, rel. 27
2θ 57.34, rel. 24
2θ 42.58, rel. 19
2θ 51.72, rel. 12
2θ 67.31, rel. 10
2θ 79.10, rel. 10

=====

3.
Structure and theoretical powder XRD pattern of K2Bi7Pb12 (DFT lattice parameters and positions (PBE); Cu Kα, 1.54184 Å).
Lines closer than 0.1° are merged.

Cell and atoms:
Cell lengths 13.7585, 13.7585, 4.6216 Å; angles 90.00, 90.00, 120.00 degrees
Sites, in units of the cell vectors:
1 K 0.3333 0.6667 0.2376
2 K 0.6667 0.3333 0.7624
3 Bi 0.0000 0.0000 0.5000
4 Bi 0.1434 0.7225 0.7336
5 Bi 0.2775 0.4209 0.7336
6 Bi 0.4209 0.1434 0.2664
7 Bi 0.5791 0.8566 0.7336
8 Bi 0.7225 0.5791 0.2664
9 Bi 0.8566 0.2775 0.2664
10 Pb 0.0381 0.4318 0.7500
11 Pb 0.0874 0.2577 0.2429
12 Pb 0.1703 0.9126 0.2429
13 Pb 0.2577 0.1703 0.7571
14 Pb 0.3937 0.9619 0.7500
15 Pb 0.4318 0.3937 0.2500
16 Pb 0.5682 0.6063 0.7500
17 Pb 0.6063 0.0381 0.2500
18 Pb 0.7423 0.8297 0.2429
19 Pb 0.8297 0.0874 0.7571
20 Pb 0.9126 0.7423 0.7571
21 Pb 0.9619 0.5682 0.2500

Peak list (8 most intense, 2θ from 10° to 90°, in order of falling intensity)
2θ 27.66, rel. 100
2θ 34.49, rel. 70
2θ 33.33, rel. 62
2θ 53.02, rel. 36
2θ 12.87, rel. 32
2θ 29.66, rel. 30
2θ 38.98, rel. 23
2θ 32.76, rel. 19

=====

4.
Structure and theoretical powder XRD pattern of Ho2Cu12Si7 (DFT lattice parameters and positions (PBE); Cu Kα, 1.54184 Å).
Lines closer than 0.1° are merged.

Cell and atoms:
Cell lengths 9.4419, 9.4419, 3.8874 Å; angles 90.00, 90.00, 120.00 degrees
Sites, in units of the cell vectors:
1 Ho 0.3333 0.6667 0.2516
2 Ho 0.6667 0.3333 0.7484
3 Cu 0.0484 0.4320 0.7516
4 Cu 0.1217 0.2657 0.2405
5 Cu 0.1440 0.8783 0.2405
6 Cu 0.2657 0.1440 0.7595
7 Cu 0.3836 0.9516 0.7516
8 Cu 0.4320 0.3836 0.2484
9 Cu 0.5680 0.6164 0.7516
10 Cu 0.6164 0.0484 0.2484
11 Cu 0.7343 0.8560 0.2405
12 Cu 0.8560 0.1217 0.7595
13 Cu 0.8783 0.7343 0.7595
14 Cu 0.9516 0.5680 0.2484
15 Si 0.0000 0.0000 0.5000
16 Si 0.1181 0.7089 0.7472
17 Si 0.2911 0.4092 0.7472
18 Si 0.4092 0.1181 0.2528
19 Si 0.5908 0.8819 0.7472
20 Si 0.7089 0.5908 0.2528
21 Si 0.8819 0.2911 0.2528

Peak list (8 most intense, 2θ from 10° to 90°, in order of falling intensity)
2θ 37.16, rel. 100
2θ 46.74, rel. 17
2θ 38.12, rel. 15
2θ 51.19, rel. 14
2θ 25.37, rel. 13
2θ 46.35, rel. 12
2θ 28.89, rel. 10
2θ 80.35, rel. 10

=====

5.
Structure and theoretical powder XRD pattern of MnZnGa4Se8 (DFT lattice parameters and positions (PBE); Cu Kα, 1.54184 Å).
Lines closer than 0.1° are merged.

Cell and atoms:
Cell lengths 6.8250, 6.8250, 8.0159 Å; angles 90.01, 90.01, 108.08 degrees
Sites, in units of the cell vectors:
1 Mn 0.0000 0.0000 0.0000
2 Zn 0.4997 0.5003 0.5000
3 Ga 0.0005 0.9995 0.5000
4 Ga 0.0002 0.5002 0.7472
5 Ga 0.4998 0.9998 0.2528
6 Ga 0.4997 0.5003 0.0000
7 Se 0.1139 0.3781 0.4877
8 Se 0.1217 0.3900 0.0085
9 Se 0.1231 0.8553 0.2562
10 Se 0.1447 0.8769 0.7438
11 Se 0.6100 0.8783 0.9915
12 Se 0.6224 0.3576 0.7534
13 Se 0.6219 0.8861 0.5123
14 Se 0.6424 0.3776 0.2466

Peak list (8 most intense, 2θ from 10° to 90°, in order of falling intensity)
2θ 27.49, rel. 100
2θ 45.88, rel. 45
2θ 53.77, rel. 29
2θ 45.25, rel. 24
2θ 84.02, rel. 14
2θ 54.87, rel. 13
2θ 73.77, rel. 10
2θ 65.92, rel. 7

=====

6.
Structure and theoretical powder XRD pattern of Th2As4Pt3Rh (DFT lattice parameters and positions (PBE); Cu Kα, 1.54184 Å).
Lines closer than 0.1° are merged.

Cell and atoms:
Cell lengths 4.4238, 4.4238, 9.9992 Å; angles 90.00, 90.00, 90.00 degrees
Sites, in units of the cell vectors:
1 Th 0.0000 0.5000 0.2411
2 Th 0.5000 0.0000 0.7589
3 As 0.0000 0.0000 0.5000
4 As 0.0000 0.5000 0.8728
5 As 0.5000 0.0000 0.1272
6 As 0.5000 0.5000 0.5000
7 Pt 0.0000 0.0000 0.0000
8 Pt 0.0000 0.5000 0.6283
9 Pt 0.5000 0.0000 0.3717
10 Rh 0.5000 0.5000 0.0000

Peak list (8 most intense, 2θ from 10° to 90°, in order of falling intensity)
2θ 33.80, rel. 100
2θ 33.67, rel. 78
2θ 40.80, rel. 74
2θ 53.89, rel. 42
2θ 69.79, rel. 35
2θ 50.05, rel. 29
2θ 28.54, rel. 26
2θ 59.06, rel. 25